Starting from a structure optimized by DFT (GGA-PBE), the XRD peak list of Na2Hg4Pb was calculated for Cu Kα.

Main lines, sorted by position (10 to 90 degrees two-theta):
Position (°2θ), d [Å], Rel. int.
23.35, 3.810, 34
27.63, 3.229, 70
29.58, 3.020, 41
29.70, 3.008, 44
33.14, 2.703, 29
33.37, 2.685, 27
36.48, 2.463, 35
38.07, 2.364, 100
56.01, 1.642, 40
67.62, 1.385, 27

Structural model:
```
Na2Hg4Pb
1.0
0.0000 5.3703 5.4059
3.2286 0.0000 5.4059
3.2286 5.3703 0.0000
Na Hg Pb
2 4 1
Cartesian
1.6143 2.6852 2.7029
4.8429 8.0555 8.1088
3.2286 2.1217 5.4059
3.2286 5.3703 2.1607
3.2286 5.3703 8.6510
3.2286 8.6189 5.4059
3.2286 5.3703 5.4059
```